The following is a computed PXRD pattern of Rb2UF7. It was derived from a structure optimized by DFT (GGA-PBE), using Cu Kα (weighted mean of Kα1 and Kα2).
Lines closer than 0.1° are merged.

Principal peaks in the range 10° ≤ 2θ ≤ 90°, in order of falling intensity:
- 2θ = 15.74°, intensity 100, (0 2 1)
- 2θ = 22.54°, intensity 81, (1 0 -2)
- 2θ = 23.61°, intensity 77, (1 3 0)
- 2θ = 23.86°, intensity 55, (1 1 2)
- 2θ = 14.94°, intensity 49, (1 1 0)
- 2θ = 42.57°, intensity 42, (2 4 2)
- 2θ = 25.44°, intensity 41, (1 3 1)
- 2θ = 25.25°, intensity 40, (1 3 -1)
- 2θ = 17.65°, intensity 38, (1 1 1)
- 2θ = 27.17°, intensity 36, (2 0 0)

Cell and atoms:
```
data_Rb2UF7
_chemical_formula_sum 'Rb8 U4 F28'
_cell_length_a 6.5649
_cell_length_b 13.8090
_cell_length_c 9.7303
_cell_angle_alpha 90.00
_cell_angle_beta 91.10
_cell_angle_gamma 90.00
_space_group_name_H-M_alt 'P 1 21/c 1'
_space_group_IT_number 14
_space_group_name_Hall '-P 2ybc'
loop_
_atom_site_label
_atom_site_type_symbol
_atom_site_fract_x
_atom_site_fract_y
_atom_site_fract_z
Rb1 Rb 0.2054 0.0499 0.1382
Rb2 Rb 0.2203 0.7165 0.0594
U1 U 0.3018 0.1317 0.6851
F1 F 0.0445 0.2161 0.7228
F2 F 0.0992 0.6113 0.5160
F3 F 0.1353 0.0027 0.6736
F4 F 0.2346 0.1590 0.4774
F5 F 0.3989 0.1073 0.8873
F6 F 0.4320 0.5598 0.8725
F7 F 0.4799 0.2414 0.1926
```

The following is a computed PXRD pattern of BaZn2. It was derived from a structure optimized by DFT (GGA-PBE), using Cu Kα (weighted mean of Kα1 and Kα2).
Lines closer than 0.1° are merged.

Principal peaks in the range 10° ≤ 2θ ≤ 90°, in order of falling intensity:
- 2θ = 30.40°, intensity 100, (1 2 1)
- 2θ = 30.84°, intensity 76, (1 1 2)
- 2θ = 35.58°, intensity 45, (2 0 0)
- 2θ = 38.70°, intensity 39, (1 0 3)
- 2θ = 60.99°, intensity 38, (1 3 4)
- 2θ = 34.94°, intensity 35, (0 3 1)
- 2θ = 31.61°, intensity 29, (0 2 2)
- 2θ = 48.30°, intensity 26, (0 3 3)
- 2θ = 50.72°, intensity 23, (2 3 1)
- 2θ = 49.62°, intensity 21, (1 4 1)

Cell and atoms:
```
data_BaZn2
_chemical_formula_sum 'Ba4 Zn8'
_cell_length_a 5.0461
_cell_length_b 8.1511
_cell_length_c 7.8659
_cell_angle_alpha 90.00
_cell_angle_beta 90.00
_cell_angle_gamma 90.00
_space_group_name_H-M_alt 'I m m a'
_space_group_IT_number 74
_space_group_name_Hall '-I 2b 2'
loop_
_atom_site_label
_atom_site_type_symbol
_atom_site_fract_x
_atom_site_fract_y
_atom_site_fract_z
Ba1 Ba 0.0000 0.2500 0.0574
Zn1 Zn 0.0000 0.0776 0.6601
```

The following is a computed PXRD pattern of SnS. It was derived from a structure optimized by DFT (GGA-PBE), using Cu Kα (weighted mean of Kα1 and Kα2).
Lines closer than 0.1° are merged.

Principal peaks in the range 10° ≤ 2θ ≤ 90°, in order of falling intensity:
- 2θ = 23.60°, intensity 100, (1 1 1)
- 2θ = 39.01°, intensity 61, (2 2 0)
- 2θ = 46.10°, intensity 51, (3 1 1)
- 2θ = 27.31°, intensity 25, (2 0 0)
- 2θ = 70.67°, intensity 22, (4 2 2)
- 2θ = 61.94°, intensity 22, (3 3 1)
- 2θ = 88.60°, intensity 18, (5 3 1)
- 2θ = 75.67°, intensity 17, (5 1 1)
- 2θ = 63.73°, intensity 11, (4 2 0)
- 2θ = 56.36°, intensity 10, (4 0 0)

Cell and atoms:
```
data_SnS
_chemical_formula_sum 'Sn4 S4'
_cell_length_a 6.5303
_cell_length_b 6.5303
_cell_length_c 6.5303
_cell_angle_alpha 90.00
_cell_angle_beta 90.00
_cell_angle_gamma 90.00
_space_group_name_H-M_alt 'F -4 3 m'
_space_group_IT_number 216
_space_group_name_Hall 'F -4 2 3'
loop_
_atom_site_label
_atom_site_type_symbol
_atom_site_fract_x
_atom_site_fract_y
_atom_site_fract_z
Sn1 Sn 0.0000 0.0000 0.0000
S1 S 0.2500 0.2500 0.7500
```